No. 1
K2VCuSe4: calculated X-ray diffraction stick pattern (Cu Kα), based on a crystal structure in the Materials Project, relaxed with PBE.
Peak positions follow from Bragg's law for the DFT cell and can differ from measured ones.

Crystal structure
```
data_K2VCuSe4
_symmetry_space_group_name_H-M 'P 1'
_symmetry_Int_Tables_number 1
_symmetry_space_group_name_Hall 'P 1'
_cell_length_a 5.647
_cell_length_b 7.345
_cell_length_c 12.270
_cell_angle_alpha 84.92
_cell_angle_beta 76.70
_cell_angle_gamma 67.39
loop_
_atom_site_label
_atom_site_type_symbol
_atom_site_fract_x
_atom_site_fract_y
_atom_site_fract_z
_atom_site_occupancy
K1 K 0.000 0.000 0.000 1
K2 K 0.106 0.505 0.775 1
K3 K 0.363 0.992 0.278 1
K4 K 0.759 0.493 0.493 1
V1 V 0.184 0.003 0.634 1
V2 V 0.936 0.496 0.139 1
Cu1 Cu 0.425 0.496 0.138 1
Cu2 Cu 0.690 0.993 0.633 1
Se1 Se 0.014 0.694 0.252 1
Se2 Se 0.097 0.804 0.525 1
Se3 Se 0.328 0.302 0.023 1
Se4 Se 0.374 0.196 0.519 1
Se5 Se 0.460 0.800 0.752 1
Se6 Se 0.663 0.693 0.025 1
Se7 Se 0.743 0.305 0.249 1
Se8 Se 0.798 0.202 0.747 1
```

Largest 8 diffraction maxima, by angle, 2θ = 10–80°:
2theta  d [Å]  I_rel
14.84  5.970  37
15.03  5.896  67
27.65  3.226  100
31.52  2.838  62
39.12  2.303  36
42.34  2.135  29
46.20  1.965  26
51.81  1.764  26

---

No. 2
K2Y4Cu4Se9: calculated X-ray diffraction stick pattern (Cu Kα), based on a crystal structure in the Materials Project, relaxed with PBE.
Peak positions follow from Bragg's law for the DFT cell and can differ from measured ones.

Crystal structure
```
data_K2Y4Cu4Se9
_symmetry_space_group_name_H-M 'P 1'
_symmetry_Int_Tables_number 1
_symmetry_space_group_name_Hall 'P 1'
_cell_length_a 7.469
_cell_length_b 7.469
_cell_length_c 16.556
_cell_angle_alpha 108.61
_cell_angle_beta 108.61
_cell_angle_gamma 32.04
loop_
_atom_site_label
_atom_site_type_symbol
_atom_site_fract_x
_atom_site_fract_y
_atom_site_fract_z
_atom_site_occupancy
K1 K 0.033 0.033 0.269 1
K2 K 0.967 0.967 0.731 1
Y1 Y 0.232 0.232 0.103 1
Y2 Y 0.345 0.345 0.444 1
Y3 Y 0.655 0.655 0.556 1
Y4 Y 0.768 0.768 0.897 1
Cu1 Cu 0.240 0.240 0.729 1
Cu2 Cu 0.425 0.425 0.029 1
Cu3 Cu 0.575 0.575 0.971 1
Cu4 Cu 0.760 0.760 0.271 1
Se1 Se 0.000 0.000 0.500 1
Se2 Se 0.135 0.135 0.922 1
Se3 Se 0.302 0.302 0.605 1
Se4 Se 0.356 0.356 0.277 1
Se5 Se 0.393 0.393 0.870 1
Se6 Se 0.607 0.607 0.130 1
Se7 Se 0.644 0.644 0.723 1
Se8 Se 0.698 0.698 0.395 1
Se9 Se 0.865 0.865 0.078 1
```

Largest 8 diffraction maxima, by angle, 2θ = 10–80°:
2theta  d [Å]  I_rel
13.07  6.772  88
28.58  3.123  93
29.00  3.079  97
30.52  2.929  61
31.16  2.870  94
42.31  2.136  76
43.92  2.062  100
44.66  2.029  66

---

No. 3
K4Cu8Te11: calculated X-ray diffraction stick pattern (Cu Kα), based on a crystal structure in the Materials Project, relaxed with PBE.
Peak positions follow from Bragg's law for the DFT cell and can differ from measured ones.

Crystal structure
```
data_K4Cu8Te11
_symmetry_space_group_name_H-M 'P 1'
_symmetry_Int_Tables_number 1
_symmetry_space_group_name_Hall 'P 1'
_cell_length_a 12.658
_cell_length_b 12.658
_cell_length_c 18.609
_cell_angle_alpha 122.95
_cell_angle_beta 122.95
_cell_angle_gamma 31.37
loop_
_atom_site_label
_atom_site_type_symbol
_atom_site_fract_x
_atom_site_fract_y
_atom_site_fract_z
_atom_site_occupancy
K1 K 0.064 0.064 0.223 1
K2 K 0.126 0.126 0.668 1
K3 K 0.250 0.250 0.088 1
K4 K 0.354 0.354 0.473 1
K5 K 0.646 0.646 0.527 1
K6 K 0.750 0.750 0.912 1
K7 K 0.874 0.874 0.332 1
K8 K 0.936 0.936 0.777 1
Cu1 Cu 0.106 0.486 0.612 1
Cu2 Cu 0.180 0.564 0.882 1
Cu3 Cu 0.229 0.614 0.058 1
Cu4 Cu 0.289 0.696 0.664 1
Cu5 Cu 0.304 0.711 0.336 1
Cu6 Cu 0.386 0.771 0.942 1
Cu7 Cu 0.436 0.820 0.118 1
Cu8 Cu 0.486 0.106 0.612 1
Cu9 Cu 0.514 0.894 0.388 1
Cu10 Cu 0.564 0.180 0.882 1
Cu11 Cu 0.614 0.229 0.058 1
Cu12 Cu 0.696 0.289 0.664 1
Cu13 Cu 0.711 0.304 0.336 1
Cu14 Cu 0.771 0.386 0.942 1
Cu15 Cu 0.820 0.436 0.118 1
Cu16 Cu 0.894 0.514 0.388 1
Te1 Te 0.017 0.437 0.274 1
Te2 Te 0.067 0.067 0.019 1
Te3 Te 0.068 0.068 0.438 1
Te4 Te 0.115 0.697 0.181 1
Te5 Te 0.199 0.199 0.468 1
Te6 Te 0.303 0.885 0.819 1
Te7 Te 0.313 0.313 0.943 1
Te8 Te 0.410 0.410 0.689 1
Te9 Te 0.437 0.017 0.274 1
Te10 Te 0.457 0.457 0.405 1
Te11 Te 0.464 0.464 0.875 1
Te12 Te 0.536 0.536 0.125 1
Te13 Te 0.543 0.543 0.595 1
Te14 Te 0.563 0.983 0.726 1
Te15 Te 0.590 0.590 0.311 1
Te16 Te 0.687 0.687 0.057 1
Te17 Te 0.697 0.115 0.181 1
Te18 Te 0.801 0.801 0.532 1
Te19 Te 0.885 0.303 0.819 1
Te20 Te 0.932 0.932 0.562 1
Te21 Te 0.933 0.933 0.981 1
Te22 Te 0.983 0.563 0.726 1
```

Largest 8 diffraction maxima, by angle, 2θ = 10–80°:
2theta  d [Å]  I_rel
15.13  5.856  79
19.62  4.525  46
28.56  3.126  52
29.10  3.069  58
29.36  3.042  68
30.27  2.953  100
45.52  1.993  62
48.05  1.894  72

---

No. 4
KCu3Te2: calculated X-ray diffraction stick pattern (Cu Kα), based on a crystal structure in the Materials Project, relaxed with PBE.
Peak positions follow from Bragg's law for the DFT cell and can differ from measured ones.

Crystal structure
```
data_KCu3Te2
_symmetry_space_group_name_H-M 'P 1'
_symmetry_Int_Tables_number 1
_symmetry_space_group_name_Hall 'P 1'
_cell_length_a 8.466
_cell_length_b 8.466
_cell_length_c 8.683
_cell_angle_alpha 110.86
_cell_angle_beta 110.86
_cell_angle_gamma 29.15
loop_
_atom_site_label
_atom_site_type_symbol
_atom_site_fract_x
_atom_site_fract_y
_atom_site_fract_z
_atom_site_occupancy
K1 K 0.134 0.134 0.046 1
K2 K 0.866 0.866 0.954 1
Cu1 Cu 0.070 0.070 0.416 1
Cu2 Cu 0.304 0.304 0.529 1
Cu3 Cu 0.416 0.416 0.399 1
Cu4 Cu 0.584 0.584 0.601 1
Cu5 Cu 0.696 0.696 0.471 1
Cu6 Cu 0.930 0.930 0.584 1
Te1 Te 0.202 0.202 0.695 1
Te2 Te 0.479 0.479 0.761 1
Te3 Te 0.521 0.521 0.239 1
Te4 Te 0.798 0.798 0.305 1
```

Largest 8 diffraction maxima, by angle, 2θ = 10–80°:
2theta  d [Å]  I_rel
10.96  8.074  100
25.57  3.483  24
27.32  3.264  23
29.43  3.035  27
39.39  2.288  50
41.49  2.176  29
42.43  2.130  29
44.71  2.027  34

---

No. 5
KZrCuTe3: calculated X-ray diffraction stick pattern (Cu Kα), based on a crystal structure in the Materials Project, relaxed with PBE.
Peak positions follow from Bragg's law for the DFT cell and can differ from measured ones.

Crystal structure
```
data_KZrCuTe3
_symmetry_space_group_name_H-M 'P 1'
_symmetry_Int_Tables_number 1
_symmetry_space_group_name_Hall 'P 1'
_cell_length_a 8.139
_cell_length_b 8.139
_cell_length_c 11.131
_cell_angle_alpha 90.00
_cell_angle_beta 90.00
_cell_angle_gamma 150.05
loop_
_atom_site_label
_atom_site_type_symbol
_atom_site_fract_x
_atom_site_fract_y
_atom_site_fract_z
_atom_site_occupancy
K1 K 0.247 0.753 0.500 1
K2 K 0.753 0.247 0.000 1
Zr1 Zr 0.003 0.997 0.222 1
Zr2 Zr 0.997 0.003 0.722 1
Cu1 Cu 0.468 0.532 0.010 1
Cu2 Cu 0.532 0.468 0.510 1
Te1 Te 0.068 0.932 0.986 1
Te2 Te 0.373 0.627 0.200 1
Te3 Te 0.378 0.622 0.805 1
Te4 Te 0.622 0.378 0.305 1
Te5 Te 0.627 0.373 0.700 1
Te6 Te 0.932 0.068 0.486 1
```

Largest 8 diffraction maxima, by angle, 2θ = 10–80°:
2theta  d [Å]  I_rel
11.25  7.863  100
26.56  3.356  50
27.18  3.281  50
28.36  3.147  79
31.66  2.826  55
39.26  2.295  62
43.01  2.103  31
49.48  1.842  33

---

No. 6
LaCu4: calculated X-ray diffraction stick pattern (Cu Kα), based on a crystal structure in the Materials Project, relaxed with PBE.
Peak positions follow from Bragg's law for the DFT cell and can differ from measured ones.

Crystal structure
```
data_LaCu4
_symmetry_space_group_name_H-M 'P 1'
_symmetry_Int_Tables_number 1
_symmetry_space_group_name_Hall 'P 1'
_cell_length_a 11.464
_cell_length_b 11.464
_cell_length_c 11.464
_cell_angle_alpha 134.37
_cell_angle_beta 134.37
_cell_angle_gamma 66.50
loop_
_atom_site_label
_atom_site_type_symbol
_atom_site_fract_x
_atom_site_fract_y
_atom_site_fract_z
_atom_site_occupancy
La1 La 0.000 0.000 0.000 1
La2 La 0.052 0.552 0.500 1
La3 La 0.130 0.374 0.756 1
La4 La 0.207 0.207 0.000 1
La5 La 0.448 0.948 0.500 1
La6 La 0.618 0.374 0.244 1
La7 La 0.626 0.382 0.756 1
La8 La 0.626 0.870 0.244 1
La9 La 0.793 0.793 0.000 1
Cu1 Cu 0.004 0.504 0.009 1
Cu2 Cu 0.004 0.996 0.500 1
Cu3 Cu 0.113 0.040 0.395 1
Cu4 Cu 0.113 0.718 0.073 1
Cu5 Cu 0.151 0.794 0.357 1
Cu6 Cu 0.206 0.563 0.357 1
Cu7 Cu 0.206 0.849 0.643 1
Cu8 Cu 0.246 0.246 0.492 1
Cu9 Cu 0.246 0.754 0.000 1
Cu10 Cu 0.282 0.355 0.395 1
Cu11 Cu 0.282 0.887 0.927 1
Cu12 Cu 0.331 0.077 0.746 1
Cu13 Cu 0.331 0.585 0.254 1
Cu14 Cu 0.365 0.079 0.286 1
Cu15 Cu 0.385 0.541 0.844 1
Cu16 Cu 0.415 0.669 0.746 1
Cu17 Cu 0.437 0.794 0.643 1
Cu18 Cu 0.459 0.302 0.844 1
Cu19 Cu 0.459 0.615 0.156 1
Cu20 Cu 0.496 0.504 0.500 1
Cu21 Cu 0.496 0.996 0.991 1
Cu22 Cu 0.553 0.209 0.344 1
Cu23 Cu 0.645 0.040 0.927 1
Cu24 Cu 0.645 0.718 0.605 1
Cu25 Cu 0.698 0.541 0.156 1
Cu26 Cu 0.754 0.246 0.000 1
Cu27 Cu 0.754 0.754 0.508 1
Cu28 Cu 0.791 0.135 0.344 1
Cu29 Cu 0.791 0.447 0.656 1
Cu30 Cu 0.793 0.079 0.714 1
Cu31 Cu 0.865 0.209 0.656 1
Cu32 Cu 0.921 0.207 0.286 1
Cu33 Cu 0.921 0.635 0.714 1
Cu34 Cu 0.923 0.669 0.254 1
Cu35 Cu 0.960 0.355 0.073 1
Cu36 Cu 0.960 0.887 0.605 1
```

Largest 8 diffraction maxima, by angle, 2θ = 10–80°:
2theta  d [Å]  I_rel
34.11  2.628  89
34.57  2.595  49
36.75  2.446  94
38.39  2.345  66
39.16  2.300  71
40.59  2.223  100
42.86  2.110  58
45.07  2.011  66

---

No. 7
LaCu: calculated X-ray diffraction stick pattern (Cu Kα), based on a crystal structure in the Materials Project, relaxed with PBE.
Peak positions follow from Bragg's law for the DFT cell and can differ from measured ones.

Crystal structure
```
data_LaCu
_symmetry_space_group_name_H-M 'P 1'
_symmetry_Int_Tables_number 1
_symmetry_space_group_name_Hall 'P 1'
_cell_length_a 7.438
_cell_length_b 4.729
_cell_length_c 5.698
_cell_angle_alpha 90.00
_cell_angle_beta 90.00
_cell_angle_gamma 90.00
loop_
_atom_site_label
_atom_site_type_symbol
_atom_site_fract_x
_atom_site_fract_y
_atom_site_fract_z
_atom_site_occupancy
La1 La 0.180 0.250 0.136 1
La2 La 0.320 0.750 0.636 1
La3 La 0.680 0.250 0.364 1
La4 La 0.820 0.750 0.864 1
Cu1 Cu 0.034 0.250 0.616 1
Cu2 Cu 0.466 0.750 0.116 1
Cu3 Cu 0.534 0.250 0.884 1
Cu4 Cu 0.966 0.750 0.384 1
```

Largest 8 diffraction maxima, by angle, 2θ = 10–80°:
2theta  d [Å]  I_rel
27.28  3.269  74
30.58  2.923  100
33.69  2.660  81
34.48  2.601  93
38.05  2.365  65
38.84  2.319  91
39.65  2.273  45
51.72  1.768  70

---

No. 8
LaCu13: calculated X-ray diffraction stick pattern (Cu Kα), based on a crystal structure in the Materials Project, relaxed with PBE.
Peak positions follow from Bragg's law for the DFT cell and can differ from measured ones.

Crystal structure
```
data_LaCu13
_symmetry_space_group_name_H-M 'P 1'
_symmetry_Int_Tables_number 1
_symmetry_space_group_name_Hall 'P 1'
_cell_length_a 8.186
_cell_length_b 8.186
_cell_length_c 8.186
_cell_angle_alpha 60.00
_cell_angle_beta 60.00
_cell_angle_gamma 60.00
loop_
_atom_site_label
_atom_site_type_symbol
_atom_site_fract_x
_atom_site_fract_y
_atom_site_fract_z
_atom_site_occupancy
La1 La 0.250 0.250 0.250 1
La2 La 0.750 0.750 0.750 1
Cu1 Cu 0.000 0.000 0.000 1
Cu2 Cu 0.063 0.297 0.703 1
Cu3 Cu 0.063 0.703 0.937 1
Cu4 Cu 0.063 0.937 0.297 1
Cu5 Cu 0.203 0.437 0.797 1
Cu6 Cu 0.203 0.563 0.437 1
Cu7 Cu 0.203 0.797 0.563 1
Cu8 Cu 0.297 0.063 0.937 1
Cu9 Cu 0.297 0.703 0.063 1
Cu10 Cu 0.297 0.937 0.703 1
Cu11 Cu 0.437 0.203 0.563 1
Cu12 Cu 0.437 0.563 0.797 1
Cu13 Cu 0.437 0.797 0.203 1
Cu14 Cu 0.500 0.500 0.500 1
Cu15 Cu 0.563 0.203 0.797 1
Cu16 Cu 0.563 0.437 0.203 1
Cu17 Cu 0.563 0.797 0.437 1
Cu18 Cu 0.703 0.063 0.297 1
Cu19 Cu 0.703 0.297 0.937 1
Cu20 Cu 0.703 0.937 0.063 1
Cu21 Cu 0.797 0.203 0.437 1
Cu22 Cu 0.797 0.437 0.563 1
Cu23 Cu 0.797 0.563 0.203 1
Cu24 Cu 0.937 0.063 0.703 1
Cu25 Cu 0.937 0.297 0.063 1
Cu26 Cu 0.937 0.703 0.297 1
```

Largest 8 diffraction maxima, by angle, 2θ = 10–80°:
2theta  d [Å]  I_rel
34.65  2.589  40
38.08  2.363  80
46.40  1.957  100
47.10  1.930  19
49.81  1.830  18
57.40  1.605  12
59.78  1.547  15
66.61  1.404  13

---

No. 9
LiLa8Cu3O16: calculated X-ray diffraction stick pattern (Cu Kα), based on a crystal structure in the Materials Project, relaxed with PBE.
Peak positions follow from Bragg's law for the DFT cell and can differ from measured ones.

Crystal structure
```
data_LiLa8Cu3O16
_symmetry_space_group_name_H-M 'P 1'
_symmetry_Int_Tables_number 1
_symmetry_space_group_name_Hall 'P 1'
_cell_length_a 7.091
_cell_length_b 7.572
_cell_length_c 8.459
_cell_angle_alpha 116.44
_cell_angle_beta 96.89
_cell_angle_gamma 105.59
loop_
_atom_site_label
_atom_site_type_symbol
_atom_site_fract_x
_atom_site_fract_y
_atom_site_fract_z
_atom_site_occupancy
Li1 Li 0.000 0.000 0.000 1
La1 La 0.274 0.730 0.820 1
La2 La 0.276 0.230 0.826 1
La3 La 0.276 0.984 0.317 1
La4 La 0.277 0.472 0.315 1
La5 La 0.722 0.018 0.683 1
La6 La 0.722 0.529 0.685 1
La7 La 0.722 0.770 0.175 1
La8 La 0.723 0.270 0.181 1
Cu1 Cu 0.000 0.500 0.000 1
Cu2 Cu 0.000 0.750 0.501 1
Cu3 Cu 0.996 0.246 0.497 1
O1 O 0.003 0.875 0.749 1
O2 O 0.004 0.627 0.252 1
O3 O 0.006 0.746 0.000 1
O4 O 0.362 0.139 0.092 1
O5 O 0.367 0.378 0.585 1
O6 O 0.368 0.626 0.082 1
O7 O 0.370 0.878 0.589 1
O8 O 0.628 0.365 0.911 1
O9 O 0.629 0.099 0.397 1
O10 O 0.633 0.602 0.402 1
O11 O 0.634 0.853 0.901 1
O12 O 0.993 0.253 0.998 1
O13 O 0.995 0.372 0.746 1
O14 O 0.996 0.125 0.249 1
O15 O 0.996 0.498 0.500 1
O16 O 0.996 0.998 0.500 1
```

Largest 8 diffraction maxima, by angle, 2θ = 10–80°:
2theta  d [Å]  I_rel
24.47  3.638  33
31.24  2.863  100
33.42  2.681  34
33.51  2.674  34
41.88  2.157  21
43.66  2.073  26
48.06  1.893  34
54.63  1.680  17

---

No. 10
LiLa8Cu3O16: calculated X-ray diffraction stick pattern (Cu Kα), based on a crystal structure in the Materials Project, relaxed with PBE.
Peak positions follow from Bragg's law for the DFT cell and can differ from measured ones.

Crystal structure
```
data_LiLa8Cu3O16
_symmetry_space_group_name_H-M 'P 1'
_symmetry_Int_Tables_number 1
_symmetry_space_group_name_Hall 'P 1'
_cell_length_a 7.094
_cell_length_b 7.592
_cell_length_c 7.592
_cell_angle_alpha 90.16
_cell_angle_beta 105.57
_cell_angle_gamma 105.38
loop_
_atom_site_label
_atom_site_type_symbol
_atom_site_fract_x
_atom_site_fract_y
_atom_site_fract_z
_atom_site_occupancy
Li1 Li 0.000 0.000 0.000 1
La1 La 0.276 0.319 0.820 1
La2 La 0.276 0.820 0.824 1
La3 La 0.276 0.824 0.314 1
La4 La 0.278 0.314 0.319 1
La5 La 0.722 0.686 0.681 1
La6 La 0.724 0.176 0.686 1
La7 La 0.724 0.180 0.176 1
La8 La 0.724 0.681 0.180 1
Cu1 Cu 0.000 0.000 0.500 1
Cu2 Cu 0.000 0.500 0.000 1
Cu3 Cu 0.000 0.500 0.500 1
O1 O 0.006 0.001 0.747 1
O2 O 0.006 0.257 0.002 1
O3 O 0.006 0.501 0.249 1
O4 O 0.006 0.754 0.502 1
O5 O 0.362 0.582 0.600 1
O6 O 0.363 0.082 0.099 1
O7 O 0.372 0.102 0.583 1
O8 O 0.372 0.603 0.083 1
O9 O 0.628 0.397 0.917 1
O10 O 0.628 0.898 0.417 1
O11 O 0.637 0.918 0.901 1
O12 O 0.638 0.418 0.400 1
O13 O 0.994 0.246 0.498 1
O14 O 0.994 0.499 0.751 1
O15 O 0.994 0.743 0.998 1
O16 O 0.994 0.999 0.253 1
```

Largest 8 diffraction maxima, by angle, 2θ = 10–80°:
2theta  d [Å]  I_rel
24.41  3.647  33
27.15  3.284  16
31.18  2.868  100
33.38  2.684  67
41.82  2.160  21
43.58  2.077  26
47.93  1.898  34
58.33  1.582  26

---

> What is the formula in the first record?

K2VCuSe4